CoPH6NO5: computed powder XRD pattern (Cu Kα), based on a DFT-relaxed cell (PBE+U, the Materials Project).
Neutral-atom scattering factors, no anomalous dispersion.

Principal peaks in the range 2θ = 15–90°, in order of rising 2θ:
| d (Å) | 2theta | I/Imax |
| --- | --- | --- |
| 4.776 | 18.58 | 18 |
| 4.251 | 20.90 | 22 |
| 3.600 | 24.73 | 18 |
| 3.126 | 28.55 | 27 |
| 2.833 | 31.58 | 100 |
| 2.559 | 35.06 | 22 |

Cell and atoms:
```
CoPH6NO5
1.0
17.825 0.000 0.000
0.000 5.657 0.000
0.000 0.000 4.837
Co P H N O
4 4 24 4 20
Cartesian
4.255 1.414 0.556
4.658 4.243 2.975
13.167 1.414 1.862
13.570 4.243 4.280
2.744 4.243 0.870
6.169 1.414 3.289
11.656 4.243 1.548
15.081 1.414 3.966
0.346 4.243 4.459
0.376 4.243 2.736
0.831 0.561 1.245
0.831 2.268 1.245
2.698 0.627 3.382
2.698 2.201 3.382
6.215 3.456 0.964
6.215 5.030 0.964
8.081 3.390 3.664
8.081 5.096 3.664
8.537 1.414 0.317
8.566 1.414 2.041
9.259 4.243 2.796
9.288 4.243 4.519
9.744 0.561 1.173
9.744 2.268 1.173
11.610 0.627 3.872
11.610 2.201 3.872
15.127 3.456 1.454
15.127 5.030 1.454
16.993 3.390 3.591
16.993 5.096 3.591
17.449 1.414 2.101
17.478 1.414 0.377
0.244 1.414 1.250
8.668 4.243 3.668
9.156 1.414 1.169
17.580 4.243 3.587
1.216 4.243 1.176
2.581 1.414 3.962
2.953 4.243 4.196
3.440 3.010 1.572
3.440 5.476 1.572
5.472 0.181 3.990
5.472 2.648 3.990
5.959 1.414 1.778
6.331 4.243 1.543
7.696 1.414 3.595
10.128 4.243 1.242
11.494 1.414 3.293
11.865 4.243 3.059
12.352 3.010 0.846
12.352 5.476 0.846
14.385 0.181 3.264
14.385 2.648 3.264
14.872 1.414 0.641
15.243 4.243 0.875
16.609 1.414 3.660
```

CoPH6NO5: computed powder XRD pattern (Cu Kα), based on a DFT-relaxed cell (PBE+U, the Materials Project).
Neutral-atom scattering factors, no anomalous dispersion.

Principal peaks in the range 2θ = 15–90°, in order of rising 2θ:
| d (Å) | 2theta | I/Imax |
| --- | --- | --- |
| 4.785 | 18.54 | 14 |
| 4.236 | 20.97 | 23 |
| 3.393 | 26.27 | 22 |
| 2.834 | 31.57 | 100 |
| 2.312 | 38.96 | 18 |
| 1.636 | 56.22 | 15 |

Cell and atoms:
```
CoPH6NO5
1.0
7.428 0.000 0.000
1.205 7.340 0.000
0.002 0.001 8.934
Co P H N O
4 4 24 4 20
Cartesian
0.000 0.000 0.000
0.612 3.671 0.460
3.714 0.002 0.453
4.324 3.670 0.000
2.382 1.580 7.447
2.987 5.253 1.934
6.095 1.579 1.941
6.701 5.253 7.454
1.640 3.776 3.906
1.040 0.107 5.479
1.573 2.539 5.079
2.177 6.212 4.306
1.778 1.081 1.883
2.405 4.730 7.485
2.989 2.076 1.895
3.589 5.759 7.509
3.564 0.190 5.118
4.170 3.861 4.271
4.052 2.673 5.480
4.656 6.339 3.913
4.753 0.106 3.910
5.354 3.777 5.484
5.287 2.539 4.311
5.890 6.212 5.083
5.495 1.081 7.504
6.116 4.728 1.904
6.703 2.080 7.498
7.302 5.759 1.880
7.278 0.190 4.271
7.884 3.862 5.119
7.766 2.672 3.911
8.371 6.338 5.477
1.003 3.211 4.495
1.606 6.880 4.892
4.717 3.211 4.895
5.319 6.880 4.497
2.005 6.394 1.672
1.415 2.735 7.714
1.892 0.232 8.104
2.504 3.894 1.288
2.546 1.389 5.908
3.172 5.067 3.470
2.756 1.125 2.020
3.382 4.804 7.357
4.387 5.509 1.252
3.793 1.831 8.108
5.724 6.398 7.715
5.126 2.733 1.677
5.606 0.230 1.286
6.215 3.896 8.102
6.263 1.389 3.480
6.884 5.066 5.917
6.473 1.128 7.370
7.093 4.803 2.028
8.103 5.506 8.132
7.506 1.831 1.278
```

CoPH16NO10: computed powder XRD pattern (Cu Kα), based on a DFT-relaxed cell (PBE+U, the Materials Project).
Neutral-atom scattering factors, no anomalous dispersion.

Principal peaks in the range 2θ = 15–90°, in order of rising 2θ:
| d (Å) | 2theta | I/Imax |
| --- | --- | --- |
| 5.621 | 15.77 | 54 |
| 5.387 | 16.45 | 35 |
| 4.266 | 20.82 | 100 |
| 3.302 | 27.00 | 40 |
| 2.964 | 30.15 | 36 |
| 2.931 | 30.50 | 29 |

Cell and atoms:
```
CoPH16NO10
1.0
6.986 0.000 0.000
0.000 6.138 0.000
0.000 0.000 11.242
Co P H N O
2 2 32 2 20
Cartesian
0.000 0.753 0.000
3.493 5.385 5.621
0.000 3.076 7.032
3.493 3.061 1.411
0.000 0.898 2.991
0.000 1.729 4.527
0.000 4.114 10.809
0.000 4.740 9.313
0.819 3.120 1.331
0.839 0.238 4.260
1.253 5.412 7.206
1.255 4.111 4.784
1.387 1.786 9.054
1.746 0.809 7.087
1.747 5.329 1.466
2.106 4.352 3.433
2.238 2.027 10.405
2.240 0.725 1.585
2.654 5.900 9.881
2.674 3.018 6.952
3.493 1.398 3.692
3.493 2.024 5.188
3.493 4.409 10.148
3.493 5.240 8.612
4.312 3.018 6.952
4.332 5.900 9.881
4.746 0.725 1.585
4.748 2.027 10.405
4.880 4.352 3.433
5.240 0.809 7.087
5.239 5.329 1.466
5.599 1.786 9.054
5.731 4.111 4.784
5.733 5.412 7.206
6.147 0.238 4.260
6.167 3.120 1.331
0.000 0.802 4.018
3.493 5.336 9.639
0.000 2.775 0.855
0.000 3.192 5.477
0.000 4.507 7.654
0.000 4.955 10.294
1.276 2.323 7.514
1.443 0.143 1.358
1.576 1.402 9.971
1.917 4.736 4.350
2.050 5.995 6.979
2.217 3.815 1.893
3.493 1.182 4.673
3.493 1.630 2.033
3.493 2.946 11.098
3.493 3.363 6.476
4.769 3.815 1.893
4.936 5.995 6.979
5.069 4.736 4.350
5.410 1.402 9.971
5.543 0.143 1.358
5.710 2.323 7.514
```